No. 1
Structure and simulated powder diffractogram of Li9Mn2Co5O16 (a DFT-relaxed cell (PBE+U, the Materials Project); copper Kα).
Peak positions follow from Bragg's law for the DFT cell and can differ from measured ones.

Top 10 peaks for 10 to 90 degrees two-theta, by intensity:
2θ (°), I (rel.)
18.33, 100
41.33, 34
43.73, 28
45.03, 24
34.40, 20
36.00, 13
36.88, 11
63.99, 9
61.53, 8
37.12, 8

Atomic structure:
```
data_Li9Mn2Co5O16
_cell_length_a 3.0187
_cell_length_b 9.9103
_cell_length_c 9.9798
_cell_angle_alpha 77.78
_cell_angle_beta 87.73
_cell_angle_gamma 87.42
_symmetry_space_group_name_H-M 'P 1'
_symmetry_Int_Tables_number 1
loop_
_symmetry_equiv_pos_as_xyz
'x,y,z'
loop_
_atom_site_label
_atom_site_type_symbol
_atom_site_fract_x
_atom_site_fract_y
_atom_site_fract_z
Li1 Li 0.0000 0.0000 0.0000
Li2 Li 0.0001 0.4941 0.7545
Li3 Li 0.0038 0.2482 0.6265
Li4 Li 0.0060 0.0013 0.5001
Li5 Li 0.0097 0.4964 0.2524
Li6 Li 0.4995 0.4989 0.0000
Li7 Li 0.5013 0.4924 0.5026
Li8 Li 0.5067 0.0051 0.7489
Li9 Li 0.5076 0.9954 0.2553
Mn1 Mn 0.0038 0.2474 0.1270
Mn2 Mn 0.0039 0.7494 0.8762
Co1 Co 0.0038 0.7466 0.3772
Co2 Co 0.4939 0.2472 0.8661
Co3 Co 0.5034 0.7473 0.6233
Co4 Co 0.5045 0.7485 0.1300
Co5 Co 0.5137 0.2488 0.3874
O1 O 0.0167 0.6328 0.0609
O2 O 0.0192 0.6333 0.5578
O3 O 0.0270 0.3620 0.9449
O4 O 0.0329 0.3623 0.4344
O5 O 0.4689 0.6325 0.8067
O6 O 0.4692 0.6344 0.3113
O7 O 0.4785 0.1365 0.0531
O8 O 0.5006 0.1325 0.5442
O9 O 0.5066 0.3632 0.7090
O10 O 0.5295 0.3590 0.2011
O11 O 0.5379 0.8645 0.9470
O12 O 0.5402 0.8604 0.4423
O13 O 0.9739 0.1341 0.8188
O14 O 0.9816 0.1332 0.3091
O15 O 0.9895 0.8611 0.1967
O16 O 0.9906 0.8643 0.6916
```

No. 2
Structure and simulated powder diffractogram of CaV2Ni2P4O18 (a DFT-relaxed cell (PBE+U, the Materials Project); copper Kα).
Peak positions follow from Bragg's law for the DFT cell and can differ from measured ones.

Top 10 peaks for 10 to 90 degrees two-theta, by intensity:
2θ (°), I (rel.)
24.42, 100
31.00, 64
17.28, 54
12.66, 49
13.32, 44
28.13, 36
34.18, 32
57.00, 30
19.25, 29
36.05, 28

Atomic structure:
```
data_CaV2Ni2P4O18
_cell_length_a 6.4032
_cell_length_b 7.5521
_cell_length_c 13.9896
_cell_angle_alpha 90.00
_cell_angle_beta 90.00
_cell_angle_gamma 90.00
_symmetry_space_group_name_H-M 'P m c 21'
_symmetry_Int_Tables_number 26
loop_
_symmetry_equiv_pos_as_xyz
'x,y,z'
'-x,-y,z+1/2'
'-x,y,z'
'x,-y,z+1/2'
loop_
_atom_site_label
_atom_site_type_symbol
_atom_site_fract_x
_atom_site_fract_y
_atom_site_fract_z
Ca1 Ca 0.0000 0.1263 0.0000
V1 V 0.0000 0.4041 0.4042
V2 V 0.5000 0.0982 0.1614
Ni1 Ni 0.2523 0.2547 0.7784
P1 P 0.0000 0.0998 0.2225
P2 P 0.0000 0.3584 0.5940
P3 P 0.5000 0.1398 0.9740
P4 P 0.5000 0.3994 0.3444
O1 O 0.0000 0.0834 0.7693
O2 O 0.0000 0.2154 0.5105
O3 O 0.0000 0.2442 0.2983
O4 O 0.0000 0.3997 0.8432
O5 O 0.0000 0.4709 0.0234
O6 O 0.1889 0.1187 0.1528
O7 O 0.1999 0.3576 0.6512
O8 O 0.3016 0.1423 0.9128
O9 O 0.3017 0.3773 0.4056
O10 O 0.5000 0.0297 0.5413
O11 O 0.5000 0.0936 0.7236
O12 O 0.5000 0.2540 0.2653
O13 O 0.5000 0.2817 0.0549
O14 O 0.5000 0.4157 0.7996
```

No. 3
Structure and simulated powder diffractogram of MgV8O8F8 (a DFT-relaxed cell (PBE+U, the Materials Project); copper Kα).
Peak positions follow from Bragg's law for the DFT cell and can differ from measured ones.

Top 10 peaks for 10 to 90 degrees two-theta, by intensity:
2θ (°), I (rel.)
26.39, 100
25.39, 90
34.42, 54
52.13, 46
34.14, 30
59.87, 27
50.30, 24
34.57, 23
51.89, 23
51.57, 22

Atomic structure:
```
data_MgV8O8F8
_cell_length_a 4.9115
_cell_length_b 5.7493
_cell_length_c 10.4225
_cell_angle_alpha 95.29
_cell_angle_beta 90.49
_cell_angle_gamma 92.15
_symmetry_space_group_name_H-M 'P -1'
_symmetry_Int_Tables_number 2
loop_
_symmetry_equiv_pos_as_xyz
'x,y,z'
'-x,-y,-z'
loop_
_atom_site_label
_atom_site_type_symbol
_atom_site_fract_x
_atom_site_fract_y
_atom_site_fract_z
Mg1 Mg 0.0000 0.0000 0.0000
V1 V 0.0000 0.0000 0.5000
V2 V 0.0000 0.5000 0.0000
V3 V 0.0219 0.7186 0.7272
V4 V 0.4817 0.7614 0.2431
V5 V 0.5000 0.0000 0.0000
V6 V 0.5000 0.5000 0.5000
O1 O 0.2098 0.7218 0.5740
O2 O 0.2585 0.7745 0.0759
O3 O 0.2597 0.9849 0.8404
O4 O 0.2973 0.5040 0.3236
F1 F 0.2265 0.0044 0.3268
F2 F 0.2281 0.4731 0.8255
F3 F 0.2333 0.2533 0.0864
F4 F 0.2997 0.2302 0.5844
```

No. 4
Structure and simulated powder diffractogram of Li9Mn2Co5O16 (a DFT-relaxed cell (PBE+U, the Materials Project); copper Kα).
Peak positions follow from Bragg's law for the DFT cell and can differ from measured ones.

Top 10 peaks for 10 to 90 degrees two-theta, by intensity:
2θ (°), I (rel.)
18.44, 100
42.92, 29
43.53, 28
44.82, 25
35.53, 15
35.94, 14
36.88, 11
62.67, 8
62.90, 8
63.42, 7

Atomic structure:
```
data_Li9Mn2Co5O16
_cell_length_a 5.0722
_cell_length_b 5.1088
_cell_length_c 11.6235
_cell_angle_alpha 90.78
_cell_angle_beta 91.94
_cell_angle_gamma 109.56
_symmetry_space_group_name_H-M 'P -1'
_symmetry_Int_Tables_number 2
loop_
_symmetry_equiv_pos_as_xyz
'x,y,z'
'-x,-y,-z'
loop_
_atom_site_label
_atom_site_type_symbol
_atom_site_fract_x
_atom_site_fract_y
_atom_site_fract_z
Li1 Li 0.0000 0.0000 0.0000
Li2 Li 0.0000 0.0000 0.5000
Li3 Li 0.0020 0.0017 0.2458
Li4 Li 0.4954 0.9994 0.6232
Li5 Li 0.4989 0.0001 0.8841
Li6 Li 0.5000 0.5000 0.0000
Mn1 Mn 0.5002 0.4974 0.2469
Co1 Co 0.9997 0.4984 0.6238
Co2 Co 0.0019 0.5021 0.8790
Co3 Co 0.5000 0.5000 0.5000
O1 O 0.2301 0.7408 0.9905
O2 O 0.2308 0.7380 0.4953
O3 O 0.2490 0.2702 0.1340
O4 O 0.2498 0.7179 0.2455
O5 O 0.2561 0.2858 0.8619
O6 O 0.2613 0.7318 0.7398
O7 O 0.2703 0.2770 0.6213
O8 O 0.2738 0.2811 0.3742
```

No. 5
Structure and simulated powder diffractogram of Na8NiO6 (a DFT-relaxed cell (PBE+U, the Materials Project); copper Kα).
Peak positions follow from Bragg's law for the DFT cell and can differ from measured ones.

Top 10 peaks for 10 to 90 degrees two-theta, by intensity:
2θ (°), I (rel.)
49.95, 100
29.08, 94
21.34, 88
45.56, 73
16.18, 61
35.65, 61
32.36, 47
31.54, 43
40.05, 39
35.31, 37

Atomic structure:
```
data_Na8NiO6
_cell_length_a 6.3255
_cell_length_b 6.3255
_cell_length_c 12.8198
_cell_angle_alpha 90.00
_cell_angle_beta 90.00
_cell_angle_gamma 120.00
_symmetry_space_group_name_H-M 'P 63 c m'
_symmetry_Int_Tables_number 185
_symmetry_space_group_name_Hall 'P 6c -2'
loop_
_atom_site_label
_atom_site_type_symbol
_atom_site_fract_x
_atom_site_fract_y
_atom_site_fract_z
Na1 Na 0.0000 0.2904 0.0000
Na2 Na 0.0000 0.3822 0.3478
Na3 Na 0.3333 0.6667 0.1434
Ni1 Ni 0.0000 0.0000 0.2233
O1 O 0.0000 0.0000 0.3766
O2 O 0.0000 0.2803 0.1788
O3 O 0.3333 0.6667 0.4487
```